Computed powder diffractogram of Fe2SnP3O12 for CuKα, from a DFT-relaxed cell (PBE+U, Alexandria).
Peak positions follow from Bragg's law for the DFT cell and can differ from measured ones.

a = 8.6824 Å, b = 8.6824 Å, c = 21.6800 Å
α = 90.00°, β = 90.00°, γ = 120.00°
Space group R-3c (No. 167, hexagonal axes)
Symmetry-distinct sites (fractional):
Fe 0.0000 0.0000 0.1482 (multiplicity 12)
Sn 0.0000 0.0000 0.0000 (multiplicity 6)
P 0.0000 0.2915 0.2500 (multiplicity 18)
O 0.0018 0.1976 0.1908 (multiplicity 36)
O 0.0185 0.1835 0.9196 (multiplicity 36)

Main lines, by angle (10° ≤ 2θ ≤ 90°):
- 2θ = 14.34°, d 6.178, rel. 19, hkl 0 1 2
- 2θ = 20.46°, d 4.341, rel. 100, hkl 1 1 0
- 2θ = 23.91°, d 3.721, rel. 59, hkl 1 1 3
- 2θ = 25.07°, d 3.552, rel. 26, hkl 2 0 2
- 2θ = 32.23°, d 2.777, rel. 91, hkl 1 1 6
- 2θ = 32.57°, d 2.749, rel. 16, hkl 1 2 2
- 2θ = 35.83°, d 2.506, rel. 39, hkl 3 0 0
- 2θ = 43.97°, d 2.059, rel. 17, hkl 3 0 6
- 2θ = 46.29°, d 1.961, rel. 28, hkl 1 2 8
- 2θ = 48.95°, d 1.861, rel. 34, hkl 2 2 6
- 2θ = 56.05°, d 1.641, rel. 25, hkl 4 1 0
- 2θ = 62.13°, d 1.494, rel. 26, hkl 4 1 6